Computed powder XRD pattern
Compound: SrSc2O4
Radiation: Cu Kα (λ = 1.5418 Å)
Structure: DFT lattice parameters and positions (GGA-PBE)

Peak list (8 most intense, 2θ from 10° to 90°, low angle first)
- 2θ 28.87, 3.093 Å, I 26, (0 1 1)
- 2θ 31.44, 2.845 Å, I 47, (0 0 4)
- 2θ 31.63, 2.829 Å, I 100, (3 0 2)
- 2θ 33.32, 2.689 Å, I 42, (2 1 0)
- 2θ 37.82, 2.379 Å, I 73, (1 1 3)
- 2θ 40.17, 2.245 Å, I 46, (3 1 1)
- 2θ 46.33, 1.960 Å, I 25, (3 1 3)
- 2θ 57.35, 1.607 Å, I 34, (0 2 0)

Atomic structure:
abc: 9.7817 3.2137 11.3820
angles: 90.00 90.00 90.00
Space group Pnma (No. 62)
Inequivalent atoms, fractional coordinates:
Sr (0.2447, 0.2500, 0.1533) x4
Sc (0.0698, 0.2500, 0.3901) x4
Sc (0.0783, 0.2500, 0.8938) x4
O (0.0222, 0.7500, 0.7835) x4
O (0.0746, 0.2500, 0.5737) x4
O (0.1165, 0.7500, 0.0209) x4
O (0.2072, 0.7500, 0.3404) x4